[1]
Simulated X-ray diffraction stick pattern of NiSb for copper Kα, from a crystal structure in the Materials Project, relaxed with GGA-PBE.
Intensities are scaled so that the largest is 100.

Peak list (6 most intense, 2θ from 10° to 90°, by angle)
d 2.855, intensity 100.0; d 2.058, intensity 55.6; d 1.982, intensity 54.2; d 1.628, intensity 18.2; d 1.428, intensity 16.1; d 1.158, intensity 16.0

Atomic structure:
a = 3.963 Å, b = 3.963 Å, c = 5.144 Å
α = 90.00°, β = 90.00°, γ = 120.00°
Element x y z (fractional)
Ni 0.000 0.000 0.000
Ni 0.000 0.000 0.500
Sb 0.333 0.667 0.250
Sb 0.667 0.333 0.750

[2]
Simulated X-ray diffraction stick pattern of K2HgAsCl6 for copper Kα, from a crystal structure in the Materials Project, relaxed with GGA-PBE.
Intensities are scaled so that the largest is 100.

Peak list (6 most intense, 2θ from 10° to 90°, by angle)
d 5.338, intensity 99.1; d 3.775, intensity 100.0; d 2.669, intensity 79.8; d 2.387, intensity 50.4; d 2.179, intensity 45.3; d 1.887, intensity 52.9

Atomic structure:
a = 7.549 Å, b = 7.549 Å, c = 7.549 Å
α = 60.00°, β = 60.00°, γ = 60.00°
Element x y z (fractional)
K 0.250 0.250 0.250
K 0.750 0.750 0.750
Hg 0.000 0.000 0.000
As 0.500 0.500 0.500
Cl 0.265 0.265 0.735
Cl 0.265 0.735 0.265
Cl 0.265 0.735 0.735
Cl 0.735 0.265 0.265
Cl 0.735 0.265 0.735
Cl 0.735 0.735 0.265